This entry pairs a crystal structure of LaAl2Si2 with its calculated X-ray powder pattern. Radiation: copper Kα. Structure: a cell relaxed with GGA-PBE.
No peak broadening, texture or thermal motion is included.

Peak list (10 most intense, 2θ from 5° to 70°, in order of falling intensity)
hkl 0 1 1, 27.38 deg, rel. 100
hkl 0 1 2, 35.45 deg, rel. 58
hkl 1 1 0, 42.51 deg, rel. 36
hkl 0 0 1, 12.69 deg, rel. 31
hkl 1 1 3, 58.85 deg, rel. 19
hkl 2 0 1, 51.31 deg, rel. 17
hkl 1 0 0, 24.16 deg, rel. 17
hkl 2 0 2, 56.51 deg, rel. 15
hkl 1 0 3, 46.17 deg, rel. 14
hkl 1 2 1, 68.76 deg, rel. 14

Structural model:
```
data_LaAl2Si2
_chemical_formula_sum 'La1 Al2 Si2'
_cell_length_a 4.2528
_cell_length_b 4.2528
_cell_length_c 6.9758
_cell_angle_alpha 90.00
_cell_angle_beta 90.00
_cell_angle_gamma 120.00
_symmetry_space_group_name_H-M 'P -3 m 1'
_symmetry_Int_Tables_number 164
_symmetry_space_group_name_Hall '-P 3 2"'
loop_
_atom_site_label
_atom_site_fract_x
_atom_site_fract_y
_atom_site_fract_z
La1 0.0000 0.0000 0.0000
Al1 0.3333 0.6667 0.6370
Si1 0.3333 0.6667 0.2729
```